This entry pairs a crystal structure of AcMo2O8 with its computed X-ray powder pattern. Radiation: CuKα. Structure: a cell relaxed with GGA+U.
Lines closer than 0.1° are merged.

Peak list (6 most intense, 2θ from 10° to 90°, low angle first)
2theta, Rel. int., index
15.4, 67.4, 0 0 1
16.7, 97.4, 0 1 -1
17.1, 97.4, 1 0 0
24.4, 100.0, -1 1 1
26.3, 76.9, 1 1 -1
26.7, 79.5, 1 0 1

Lattice parameters (Å, degrees): 6.056 6.516 6.574 111.35 97.80 114.47
Positions (direct):
Ac  0.000  0.000  0.000
Mo  0.221  0.511  0.733
Mo  0.779  0.489  0.266
O  0.039  0.696  0.571
O  0.187  0.714  0.980
O  0.203  0.258  0.790
O  0.461  0.318  0.265
O  0.539  0.681  0.735
O  0.797  0.741  0.209
O  0.813  0.285  0.019
O  0.962  0.301  0.427